For Cs2CaF4, the PBE geometry in the Materials Project gives the theoretical X-ray powder pattern in this record (λ = 1.5418 Å (Cu Kα)).
Lines closer than 0.1° are merged.

Principal peaks in the range 5 to 70 degrees two-theta, sorted by position:
| Position (°2θ) | d [Å] | I (rel.) | index |
| --- | --- | --- | --- |
| 20.34 | 4.367 | 220 | 1 0 1 |
| 26.39 | 3.377 | 1000 | 1 0 3 |
| 27.65 | 3.226 | 655 | 1 1 0 |
| 36.67 | 2.450 | 388 | 1 1 4 |
| 39.50 | 2.281 | 388 | 2 0 0 |
| 45.78 | 1.982 | 205 | 1 1 6 |
| 48.13 | 1.890 | 385 | 2 1 3 |
| 54.32 | 1.689 | 213 | 2 0 6 |

Structural model:
Unit cell a=4.562 b=4.562 c=15.070 alpha=90.00 beta=90.00 gamma=90.00
Space group I4/mmm (No. 139)
Inequivalent atoms, fractional coordinates:
Cs 0.000 0.000 0.149 (multiplicity 4)
Ca 0.000 0.000 0.500 (multiplicity 2)
F 0.000 0.000 0.348 (multiplicity 4)
F 0.000 0.500 0.000 (multiplicity 4)



For Cs2CaH4, the PBE geometry in the Materials Project gives the theoretical X-ray powder pattern in this record (λ = 1.5418 Å (Cu Kα)).
Lines closer than 0.1° are merged.

Principal peaks in the range 5 to 70 degrees two-theta, sorted by position:
| Position (°2θ) | d [Å] | I (rel.) | index |
| --- | --- | --- | --- |
| 20.03 | 4.433 | 275 | 1 0 1 |
| 22.84 | 3.894 | 128 | 0 0 4 |
| 25.80 | 3.453 | 1000 | 1 0 3 |
| 27.27 | 3.270 | 496 | 1 1 0 |
| 35.86 | 2.504 | 170 | 1 1 4 |
| 38.95 | 2.312 | 194 | 2 0 0 |
| 44.56 | 2.033 | 157 | 1 1 6 |
| 47.31 | 1.921 | 372 | 2 1 3 |

Structural model:
Unit cell a=4.624 b=4.624 c=15.577 alpha=90.00 beta=90.00 gamma=90.00
Space group I4/mmm (No. 139)
Inequivalent atoms, fractional coordinates:
Cs 0.000 0.000 0.148 (multiplicity 4)
Ca 0.000 0.000 0.500 (multiplicity 2)
H 0.000 0.000 0.351 (multiplicity 4)
H 0.000 0.500 0.000 (multiplicity 4)



For CsCaH3, the PBE geometry in the Materials Project gives the theoretical X-ray powder pattern in this record (λ = 1.5418 Å (Cu Kα)).
Lines closer than 0.1° are merged.

Principal peaks in the range 5 to 70 degrees two-theta, sorted by position:
| Position (°2θ) | d [Å] | I (rel.) | index |
| --- | --- | --- | --- |
| 19.21 | 4.621 | 281 | 1 0 0 |
| 27.29 | 3.268 | 1000 | 1 1 0 |
| 33.59 | 2.668 | 110 | 1 1 1 |
| 38.98 | 2.311 | 200 | 2 0 0 |
| 43.80 | 2.067 | 141 | 2 1 0 |
| 48.24 | 1.887 | 401 | 2 1 1 |
| 56.31 | 1.634 | 131 | 2 2 0 |
| 63.68 | 1.461 | 173 | 3 1 0 |

Structural model:
Unit cell a=4.621 b=4.621 c=4.621 alpha=90.00 beta=90.00 gamma=90.00
Space group Pm-3m (No. 221)
Inequivalent atoms, fractional coordinates:
Cs 0.000 0.000 0.000 (multiplicity 1)
Ca 0.500 0.500 0.500 (multiplicity 1)
H 0.000 0.500 0.500 (multiplicity 3)



- Number 3 is which compound?
  CsCaH3